Diffraction record for Er2F. The XRD peak list is simulated, not measured: it uses DFT lattice parameters and positions (PBE) and λ = 1.5418 Å (Cu Kα).
Lines closer than 0.1° are merged.

The 8 most intense peaks (10° ≤ 2θ ≤ 90°), in order of falling intensity:
hkl 1 1 1, 2.752 Å, 2θ 32.5, rel. 100.0; hkl 2 0 0, 2.915 Å, 2θ 30.7, rel. 43.2; hkl 2 1 0, 2.607 Å, 2θ 34.4, rel. 23.6; hkl 3 1 1, 1.650 Å, 2θ 55.7, rel. 23.1; hkl 3 0 1, 1.720 Å, 2θ 53.3, rel. 16.9; hkl 2 2 0, 2.061 Å, 2θ 43.9, rel. 16.3; hkl 2 0 2, 1.561 Å, 2θ 59.2, rel. 13.9; hkl 3 2 1, 1.481 Å, 2θ 62.7, rel. 11.4

Structure:
```
data_Er2F
_cell_length_a 5.830
_cell_length_b 5.830
_cell_length_c 3.696
_cell_angle_alpha 90.00
_cell_angle_beta 90.00
_cell_angle_gamma 90.00
_symmetry_space_group_name_H-M 'P 42/m n m'
_symmetry_Int_Tables_number 136
_symmetry_space_group_name_Hall '-P 4n 2n'
loop_
_atom_site_label
_atom_site_type_symbol
_atom_site_fract_x
_atom_site_fract_y
_atom_site_fract_z
Er1 Er 0.208 0.208 0.000
F1 F 0.000 0.000 0.500
```

=====

Diffraction record for ErH2F4. The XRD peak list is simulated, not measured: it uses DFT lattice parameters and positions (PBE) and λ = 1.5418 Å (Cu Kα).
Lines closer than 0.1° are merged.

The 8 most intense peaks (10° ≤ 2θ ≤ 90°), in order of falling intensity:
hkl 1 1 1, 4.382 Å, 2θ 20.3, rel. 100.0; hkl 0 2 2, 3.481 Å, 2θ 25.6, rel. 74.2; hkl 1 3 1, 2.673 Å, 2θ 33.5, rel. 34.6; hkl 1 3 3, 2.146 Å, 2θ 42.1, rel. 33.5; hkl 2 2 0, 2.427 Å, 2θ 37.0, rel. 25.0; hkl 2 0 2, 2.466 Å, 2θ 36.4, rel. 22.0; hkl 2 4 2, 1.715 Å, 2θ 53.4, rel. 21.9; hkl 1 1 5, 1.878 Å, 2θ 48.5, rel. 20.4

Structure:
```
data_ErH2F4
_cell_length_a 5.638
_cell_length_b 9.541
_cell_length_c 10.184
_cell_angle_alpha 90.00
_cell_angle_beta 90.00
_cell_angle_gamma 90.00
_symmetry_space_group_name_H-M 'F d d d'
_symmetry_Int_Tables_number 70
loop_
_symmetry_equiv_pos_as_xyz
'x,y,z'
'-x,-y,-z'
'-x+1/4,-y+1/4,z'
'x+1/4,y+1/4,-z'
'x,-y+1/4,-z+1/4'
'-x,y+1/4,z+1/4'
'-x+1/4,y,-z+1/4'
'x+1/4,-y,z+1/4'
'x,y+1/2,z+1/2'
'-x,-y+1/2,-z+1/2'
'-x+1/4,-y+3/4,z+1/2'
'x+1/4,y+3/4,-z+1/2'
'x,-y+3/4,-z+3/4'
'-x,y+3/4,z+3/4'
'-x+1/4,y+1/2,-z+3/4'
'x+1/4,-y+1/2,z+3/4'
'x+1/2,y,z+1/2'
'-x+1/2,-y,-z+1/2'
'-x+3/4,-y+1/4,z+1/2'
'x+3/4,y+1/4,-z+1/2'
'x+1/2,-y+1/4,-z+3/4'
'-x+1/2,y+1/4,z+3/4'
'-x+3/4,y,-z+3/4'
'x+3/4,-y,z+3/4'
'x+1/2,y+1/2,z'
'-x+1/2,-y+1/2,-z'
'-x+3/4,-y+3/4,z'
'x+3/4,y+3/4,-z'
'x+1/2,-y+3/4,-z+1/4'
'-x+1/2,y+3/4,z+1/4'
'-x+3/4,y+1/2,-z+1/4'
'x+3/4,-y+1/2,z+1/4'
loop_
_atom_site_label
_atom_site_type_symbol
_atom_site_fract_x
_atom_site_fract_y
_atom_site_fract_z
Er1 Er 0.125 0.125 0.125
H1 H 0.125 0.001 0.625
F1 F 0.033 0.260 0.945
```

=====

Diffraction record for ErH2O2F. The XRD peak list is simulated, not measured: it uses DFT lattice parameters and positions (PBE) and λ = 1.5418 Å (Cu Kα).
Lines closer than 0.1° are merged.

The 8 most intense peaks (10° ≤ 2θ ≤ 90°), in order of falling intensity:
hkl 1 0 0, 5.485 Å, 2θ 16.2, rel. 100.0; hkl 0 1 1, 2.898 Å, 2θ 30.9, rel. 68.9; hkl 1 0 -1, 4.802 Å, 2θ 18.5, rel. 60.6; hkl 1 0 1, 3.458 Å, 2θ 25.8, rel. 55.6; hkl 2 1 0, 2.123 Å, 2θ 42.6, rel. 52.2; hkl 1 1 -1, 2.750 Å, 2θ 32.6, rel. 47.5; hkl 1 1 0, 2.862 Å, 2θ 31.2, rel. 44.7; hkl 2 1 -2, 1.953 Å, 2θ 46.5, rel. 40.5

Structure:
```
data_ErH2O2F
_cell_length_a 5.784
_cell_length_b 3.356
_cell_length_c 6.063
_cell_angle_alpha 90.00
_cell_angle_beta 108.49
_cell_angle_gamma 90.00
_symmetry_space_group_name_H-M 'P 1 21/m 1'
_symmetry_Int_Tables_number 11
loop_
_symmetry_equiv_pos_as_xyz
'x,y,z'
'-x,-y,-z'
'-x,y+1/2,-z'
'x,-y+1/2,z'
loop_
_atom_site_label
_atom_site_type_symbol
_atom_site_fract_x
_atom_site_fract_y
_atom_site_fract_z
Er1 Er 0.140 0.250 0.290
H1 H 0.267 0.250 0.862
H2 H 0.350 0.750 0.677
O1 O 0.118 0.250 0.904
O2 O 0.186 0.750 0.566
F1 F 0.410 0.750 0.259
```